Entry 1:
# Pr2GaNi6B
Simulated powder X-ray diffraction pattern, CuKα. Input: the PBE geometry in Alexandria.
Intensities are scaled so that the largest is 100.

abc: 5.4507 5.4507 5.8430
angles: 90.00 90.00 120.00
Space group P-3m1 (No. 164)
One atom of each set of equivalent atoms:
Pr  0.3333  0.6667  0.3185
Ga  0.0000  0.0000  0.5000
Ni  0.1808  0.3617  0.8261
B  0.0000  0.0000  0.0000

Main lines, by intensity (10° ≤ 2θ ≤ 90°):
41.25 deg, I = 100; 36.16 deg, I = 61; 36.37 deg, I = 30; 32.86 deg, I = 20; 68.91 deg, I = 19; 49.66 deg, I = 18; 71.74 deg, I = 16; 30.60 deg, I = 15; 24.24 deg, I = 15; 60.83 deg, I = 15

***

Entry 2:
# PmGe5
Simulated powder X-ray diffraction pattern, CuKα. Input: the PBE geometry in Alexandria.
Intensities are scaled so that the largest is 100.

abc: 4.055 6.247 9.854
angles: 90.00 90.00 90.00
Space group Immm (No. 71)
One atom of each set of equivalent atoms:
Pm  0.000  0.000  0.000
Ge  0.000  0.205  0.331
Ge  0.000  0.500  0.000

Main lines, by intensity (10° ≤ 2θ ≤ 90°):
35.16 deg, I = 100; 37.47 deg, I = 74; 33.98 deg, I = 51; 44.70 deg, I = 25; 57.31 deg, I = 22; 60.01 deg, I = 20; 26.20 deg, I = 19; 46.97 deg, I = 18; 55.99 deg, I = 13; 30.75 deg, I = 13

***

Entry 3:
# Y5Ho2Tm12
Simulated powder X-ray diffraction pattern, CuKα. Input: the PBE geometry in Alexandria.
Intensities are scaled so that the largest is 100.

abc: 15.725 9.067 8.419
angles: 90.00 91.21 90.00
Space group C2/m (No. 12)
One atom of each set of equivalent atoms:
Y  0.000  0.000  0.000
Y  0.199  0.500  0.507
Y  0.235  0.000  0.075
Ho  0.000  0.319  0.500
Tm  0.056  0.500  0.833
Tm  0.093  0.000  0.387
Tm  0.126  0.307  0.160
Tm  0.155  0.182  0.746

Main lines, by intensity (10° ≤ 2θ ≤ 90°):
31.74 deg, I = 100; 30.98 deg, I = 89; 32.02 deg, I = 72; 33.81 deg, I = 63; 31.47 deg, I = 63; 36.04 deg, I = 60; 32.12 deg, I = 56; 31.92 deg, I = 49; 56.39 deg, I = 38; 39.74 deg, I = 37

***

Entry 4:
# CsGe2N2
Simulated powder X-ray diffraction pattern, CuKα. Input: the PBE geometry in Alexandria.
Intensities are scaled so that the largest is 100.

abc: 3.855 3.855 12.927
angles: 90.00 90.00 90.00
Space group I4/mmm (No. 139)
One atom of each set of equivalent atoms:
Cs  0.000  0.000  0.000
Ge  0.000  0.000  0.307
N  0.000  0.500  0.250

Main lines, by intensity (10° ≤ 2θ ≤ 90°):
31.13 deg, I = 100; 32.85 deg, I = 40; 57.58 deg, I = 34; 47.15 deg, I = 21; 24.09 deg, I = 17; 54.27 deg, I = 16; 27.60 deg, I = 16; 55.15 deg, I = 13; 75.43 deg, I = 11; 43.43 deg, I = 9

***

Entry 5:
# FePb5
Simulated powder X-ray diffraction pattern, CuKα. Input: the PBE geometry in Alexandria.
Intensities are scaled so that the largest is 100.

abc: 3.447 3.447 13.950
angles: 90.00 90.00 90.00
Space group P4/mmm (No. 123)
One atom of each set of equivalent atoms:
Fe  0.000  0.000  0.000
Pb  0.000  0.000  0.317
Pb  0.500  0.500  0.121
Pb  0.500  0.500  0.500

Main lines, by intensity (10° ≤ 2θ ≤ 90°):
32.33 deg, I = 100; 36.88 deg, I = 49; 28.89 deg, I = 30; 63.59 deg, I = 30; 49.67 deg, I = 25; 32.08 deg, I = 20; 59.40 deg, I = 19; 53.14 deg, I = 18; 83.75 deg, I = 16; 63.44 deg, I = 12

***

Entry 6:
# Cd2In2Hg4Pb3
Simulated powder X-ray diffraction pattern, CuKα. Input: the PBE geometry in Alexandria.
Intensities are scaled so that the largest is 100.

abc: 5.2876 5.2876 12.7227
angles: 90.00 90.00 120.00
Space group P-3m1 (No. 164)
One atom of each set of equivalent atoms:
Cd  0.3333  0.6667  0.1240
In  0.3333  0.6667  0.6131
Hg  0.3333  0.6667  0.3720
Hg  0.3333  0.6667  0.8733
Pb  0.0000  0.0000  0.0000
Pb  0.0000  0.0000  0.2674

Main lines, by intensity (10° ≤ 2θ ≤ 90°):
33.91 deg, I = 100; 34.33 deg, I = 80; 60.94 deg, I = 31; 49.02 deg, I = 30; 68.90 deg, I = 21; 60.67 deg, I = 19; 23.94 deg, I = 17; 81.63 deg, I = 14; 44.57 deg, I = 12; 71.35 deg, I = 12

***

Entry 7:
# Sm3Ho7Er
Simulated powder X-ray diffraction pattern, CuKα. Input: the PBE geometry in Alexandria.
Intensities are scaled so that the largest is 100.

abc: 6.916 5.500 9.937
angles: 90.00 109.36 90.00
Space group P2/m (No. 10)
One atom of each set of equivalent atoms:
Sm  0.000  0.000  0.000
Sm  0.280  0.500  0.496
Ho  0.000  0.000  0.500
Ho  0.149  0.500  0.789
Ho  0.321  0.500  0.137
Ho  0.424  0.000  0.329
Er  0.500  0.000  0.000

Main lines, by intensity (10° ≤ 2θ ≤ 90°):
31.87 deg, I = 100; 32.97 deg, I = 53; 32.56 deg, I = 52; 32.17 deg, I = 47; 31.47 deg, I = 23; 32.45 deg, I = 16; 57.66 deg, I = 16; 63.57 deg, I = 14; 57.85 deg, I = 13; 58.37 deg, I = 12

***

Entry 8:
# La4Dy5Mg
Simulated powder X-ray diffraction pattern, CuKα. Input: the PBE geometry in Alexandria.
Intensities are scaled so that the largest is 100.

abc: 3.694 3.694 24.088
angles: 90.00 90.00 90.00
Space group P4/mmm (No. 123)
One atom of each set of equivalent atoms:
La  0.000  0.000  0.104
La  0.000  0.000  0.314
Dy  0.500  0.500  0.000
Dy  0.500  0.500  0.209
Dy  0.500  0.500  0.417
Mg  0.000  0.000  0.500

Main lines, by intensity (10° ≤ 2θ ≤ 90°):
30.49 deg, I = 100; 34.33 deg, I = 42; 59.11 deg, I = 31; 51.61 deg, I = 15; 49.33 deg, I = 15; 28.34 deg, I = 11; 59.24 deg, I = 11; 37.33 deg, I = 10; 48.71 deg, I = 10; 80.62 deg, I = 9

***

What did the fifth record say?
# FePb5
Simulated powder X-ray diffraction pattern, CuKα. Input: the PBE geometry in Alexandria.
Intensities are scaled so that the largest is 100.

abc: 3.447 3.447 13.950
angles: 90.00 90.00 90.00
Space group P4/mmm (No. 123)
One atom of each set of equivalent atoms:
Fe  0.000  0.000  0.000
Pb  0.000  0.000  0.317
Pb  0.500  0.500  0.121
Pb  0.500  0.500  0.500

Main lines, by intensity (10° ≤ 2θ ≤ 90°):
32.33 deg, I = 100; 36.88 deg, I = 49; 28.89 deg, I = 30; 63.59 deg, I = 30; 49.67 deg, I = 25; 32.08 deg, I = 20; 59.40 deg, I = 19; 53.14 deg, I = 18; 83.75 deg, I = 16; 63.44 deg, I = 12